(1)
For K2PaCu2O6, the PBE geometry in Alexandria gives the theoretical X-ray diffraction stick pattern in this record (Cu Kα X-rays).
Neutral-atom scattering factors, no anomalous dispersion.

Principal peaks in the range 2θ = 10–80°, sorted by position:
2θ/deg	I_rel
13.23	78
17.09	26
21.67	100
29.83	71
31.82	78
32.76	38
37.17	20
44.18	51
48.37	24
52.95	19
54.22	48
66.48	18

Cell and atoms:
```
K2PaCu2O6
1.0
5.9902 0.0000 0.0000
-2.9951 5.1877 0.0000
0.0000 0.0000 6.6933
K Pa Cu O
2 1 2 6
Cartesian
0.0000 3.4585 2.2396
2.9951 1.7292 4.4538
0.0000 0.0000 0.0000
0.0000 3.4585 5.5191
2.9951 1.7292 1.1742
-0.4685 1.7011 5.4212
-1.2877 4.7429 5.4212
1.2389 1.2563 1.2722
1.7562 3.9314 5.4212
4.2828 0.4448 1.2722
3.4636 3.4866 1.2722
```

---

(2)
For K3PaCu2O9, the PBE geometry in Alexandria gives the theoretical X-ray diffraction stick pattern in this record (Cu Kα X-rays).
Neutral-atom scattering factors, no anomalous dispersion.

Principal peaks in the range 2θ = 10–80°, sorted by position:
2θ/deg	I_rel
12.52	21
17.97	32
21.96	100
31.12	84
31.39	72
44.79	58
50.24	18
50.60	23
55.21	16
55.71	32
64.90	17
65.50	15

Cell and atoms:
```
K3PaCu2O9
1.0
5.7003 0.0000 0.0000
-2.8502 4.9366 0.0000
0.0000 0.0000 7.0683
K Pa Cu O
3 1 2 9
Cartesian
0.0000 0.0000 0.0000
0.0000 3.2911 4.8114
2.8502 1.6455 2.2570
0.0000 0.0000 3.5342
0.0000 3.2911 1.1655
2.8502 1.6455 5.9028
-1.4251 2.4683 0.0000
0.0000 1.6983 2.2970
-1.3794 4.0875 2.2970
1.4708 0.8492 4.7713
2.8502 0.0000 0.0000
1.4251 2.4683 0.0000
1.3794 4.0875 2.2970
4.2295 0.8492 4.7713
2.8502 3.2383 4.7713
```

---

(3)
For KPmCuO3, the PBE geometry in Alexandria gives the theoretical X-ray diffraction stick pattern in this record (Cu Kα X-rays).
Neutral-atom scattering factors, no anomalous dispersion.

Principal peaks in the range 2θ = 10–80°, sorted by position:
2θ/deg	I_rel
12.37	100
25.98	15
31.25	57
31.84	35
32.74	34
33.26	89
43.31	32
43.90	16
46.25	23
56.24	13
57.24	13
57.81	14

Cell and atoms:
```
KPmCuO3
1.0
6.4926 -1.9630 0.0000
6.4926 1.9630 0.0000
-1.9164 0.0000 7.1569
K Pm Cu O
2 2 2 6
Cartesian
1.7293 0.0000 0.4535
9.3396 0.0000 6.7034
0.8323 0.0000 4.1341
10.2366 0.0000 3.0228
5.0331 0.0000 5.0852
6.0357 0.0000 2.0717
-0.4824 0.0000 2.1364
3.1487 0.0000 4.5231
4.1496 0.0000 1.6412
6.9192 0.0000 5.5157
7.9201 0.0000 2.6338
11.5512 0.0000 5.0205
```

---

(4)
For K2PrCu2O4, the PBE geometry in Alexandria gives the theoretical X-ray diffraction stick pattern in this record (Cu Kα X-rays).
Neutral-atom scattering factors, no anomalous dispersion.

Principal peaks in the range 2θ = 10–80°, sorted by position:
2θ/deg	I_rel
14.25	100
26.07	14
28.74	30
32.65	13
33.24	48
34.60	19
37.64	11
38.18	34
39.72	28
39.97	12
50.18	12
51.61	21

Cell and atoms:
```
K2PrCu2O4
1.0
6.7812 -1.7713 0.0000
6.7812 1.7713 0.0000
-1.8471 0.0000 6.2134
K Pr Cu O
2 1 2 4
Cartesian
1.6487 0.0000 0.3683
10.0665 0.0000 5.8451
-0.9236 0.0000 3.1067
3.4249 0.0000 2.9214
8.2904 0.0000 3.2920
1.3887 0.0000 4.1462
4.9209 0.0000 4.4226
6.7944 0.0000 1.7908
10.3266 0.0000 2.0672
```

---

(5)
For KCu3Rh4O12, the PBE geometry in Alexandria gives the theoretical X-ray diffraction stick pattern in this record (Cu Kα X-rays).
Neutral-atom scattering factors, no anomalous dispersion.

Principal peaks in the range 2θ = 10–80°, sorted by position:
2θ/deg	I_rel
16.70	2
23.70	12
29.14	2
33.77	100
37.90	3
41.68	1
45.19	1
48.50	23
54.68	6
60.41	47
71.03	12
76.07	1

Cell and atoms:
```
KCu3Rh4O12
1.0
-3.7536 3.7536 3.7536
3.7536 -3.7536 3.7536
3.7536 3.7536 -3.7536
K Cu Rh O
1 3 4 12
Cartesian
0.0000 0.0000 0.0000
3.7536 0.0000 0.0000
0.0000 3.7536 0.0000
0.0000 0.0000 3.7536
1.8768 1.8768 -1.8768
1.8768 -1.8768 1.8768
-1.8768 1.8768 1.8768
1.8768 1.8768 1.8768
3.7536 -1.3601 2.4432
2.3936 1.3105 0.0000
5.1137 1.3105 0.0000
2.4432 3.7536 -1.3601
1.3105 0.0000 2.3936
0.0000 2.3936 1.3105
3.7536 1.3601 2.4432
2.4432 3.7536 1.3601
1.3105 0.0000 5.1137
-1.3601 2.4432 3.7536
1.3601 2.4432 3.7536
0.0000 5.1137 1.3105
```

---

(6)
For K2CuRhO4, the PBE geometry in Alexandria gives the theoretical X-ray diffraction stick pattern in this record (Cu Kα X-rays).
Neutral-atom scattering factors, no anomalous dispersion.

Principal peaks in the range 2θ = 10–80°, sorted by position:
2θ/deg	I_rel
19.32	47
29.64	46
32.84	100
35.63	9
42.42	25
51.39	8
54.66	42
60.55	19
61.54	7
68.84	10
69.78	11
71.53	9

Cell and atoms:
```
K2CuRhO4
1.0
6.0276 0.0000 0.0000
0.0000 6.0276 0.0000
0.0000 0.0000 7.0975
K Cu Rh O
4 2 2 8
Cartesian
0.0000 0.0000 0.0000
0.0000 3.0138 1.7744
3.0138 0.0000 5.3231
3.0138 3.0138 3.5487
0.0000 0.0000 3.5487
3.0138 3.0138 0.0000
0.0000 3.0138 5.3231
3.0138 0.0000 1.7744
0.8225 1.5742 4.3662
1.4396 3.8364 6.2800
1.5742 5.2051 2.7313
2.1913 1.4396 0.8175
3.8364 4.5880 0.8175
4.4534 0.8225 2.7313
4.5880 2.1913 6.2800
5.2051 4.4534 4.3662
```

---

(7)
For K2Cu3Se4O12, the PBE geometry in Alexandria gives the theoretical X-ray diffraction stick pattern in this record (Cu Kα X-rays).
Neutral-atom scattering factors, no anomalous dispersion.

Principal peaks in the range 2θ = 10–80°, sorted by position:
2θ/deg	I_rel
11.74	80
14.84	34
17.09	21
23.61	33
26.59	56
27.87	100
29.32	80
32.15	40
32.24	37
32.50	26
32.68	60
33.23	32

Cell and atoms:
```
K2Cu3Se4O12
1.0
5.4886 0.0000 0.0000
-0.4045 7.6210 0.0000
-2.6526 -1.2209 8.0655
K Cu Se O
2 3 4 12
Cartesian
0.0145 0.2597 2.4104
2.4169 6.1405 5.6551
-0.2023 3.8105 0.0000
0.0330 0.9799 6.2966
2.3984 5.4203 1.7690
-0.3062 4.3712 3.3308
-0.2618 4.1114 7.0233
2.6933 2.2887 1.0422
2.7376 2.0290 4.7347
-1.4222 0.9389 4.9776
-0.2328 3.3325 1.9397
1.1045 5.3340 0.2443
-1.1677 0.8446 7.8419
-0.3746 5.5895 6.2461
1.0643 5.4273 3.1837
1.3672 0.9728 4.8818
2.8060 0.8106 1.8194
3.5991 5.5555 0.2236
1.3269 1.0661 7.8212
2.6642 3.0676 6.1258
3.8537 5.4613 3.0879
```